[1]
La2Sc2Ge2H: computed powder XRD pattern (Cu Kα), based on a structure optimized by DFT (GGA-PBE).
No peak broadening, texture or thermal motion is included.

Structural model:
abc: 4.3614 4.3614 16.2841
angles: 90.00 90.00 90.00
Space group I4/mmm (No. 139)
Inequivalent atoms, fractional coordinates:
La (0.0000, 0.0000, 0.1777) [4 per cell]
Sc (0.0000, 0.5000, 0.0000) [4 per cell]
Ge (0.0000, 0.0000, 0.3806) [4 per cell]
H (0.0000, 0.0000, 0.0000) [2 per cell]

Main lines, low angle first (2θ = 10–90°):
- hkl 1 0 3, 2θ = 26.21°, intensity 53
- hkl 1 1 0, 2θ = 28.95°, intensity 79
- hkl 1 1 2, 2θ = 31.01°, intensity 72
- hkl 0 0 6, 2θ = 33.00°, intensity 24
- hkl 1 0 5, 2θ = 34.37°, intensity 100
- hkl 1 1 4, 2θ = 36.55°, intensity 70
- hkl 2 0 0, 2θ = 41.41°, intensity 70
- hkl 2 0 6, 2θ = 53.95°, intensity 31
- hkl 1 0 9, 2θ = 54.89°, intensity 81
- hkl 2 1 9, 2θ = 71.05°, intensity 39

---

[2]
LaTbGeH: computed powder XRD pattern (Cu Kα), based on a structure optimized by DFT (GGA-PBE).
No peak broadening, texture or thermal motion is included.

Structural model:
abc: 4.4805 4.4805 8.6318
angles: 90.00 90.00 90.00
Space group P4/nmm (No. 129, origin choice 2)
Inequivalent atoms, fractional coordinates:
La (0.2500, 0.2500, 0.1266) [2 per cell]
Tb (0.2500, 0.7500, 0.5000) [2 per cell]
Ge (0.2500, 0.2500, 0.7324) [2 per cell]
H (0.2500, 0.7500, 0.0000) [2 per cell]

Main lines, low angle first (2θ = 10–90°):
- hkl 0 0 1, 2θ = 10.25°, intensity 23
- hkl 1 0 2, 2θ = 28.72°, intensity 45
- hkl 1 1 1, 2θ = 30.05°, intensity 100
- hkl 0 0 3, 2θ = 31.08°, intensity 21
- hkl 1 1 2, 2θ = 35.14°, intensity 62
- hkl 1 0 3, 2θ = 37.14°, intensity 26
- hkl 2 0 0, 2θ = 40.26°, intensity 53
- hkl 1 1 4, 2θ = 51.22°, intensity 20
- hkl 2 0 3, 2θ = 51.71°, intensity 20
- hkl 3 1 1, 2θ = 66.92°, intensity 20

---

[3]
Li2ScGeH: computed powder XRD pattern (Cu Kα), based on a structure optimized by DFT (GGA-PBE).
No peak broadening, texture or thermal motion is included.

Structural model:
abc: 3.9354 3.9354 4.4464
angles: 90.00 90.00 90.00
Space group P4/mmm (No. 123)
Inequivalent atoms, fractional coordinates:
Li (0.0000, 0.5000, 0.0000) [2 per cell]
Sc (0.0000, 0.0000, 0.5000) [1 per cell]
Ge (0.5000, 0.5000, 0.5000) [1 per cell]
H (0.0000, 0.0000, 0.0000) [1 per cell]

Main lines, low angle first (2θ = 10–90°):
- hkl 0 0 1, 2θ = 19.97°, intensity 95
- hkl 1 1 0, 2θ = 32.17°, intensity 60
- hkl 1 1 1, 2θ = 38.15°, intensity 100
- hkl 0 0 2, 2θ = 40.58°, intensity 22
- hkl 2 0 0, 2θ = 46.13°, intensity 30
- hkl 2 0 1, 2θ = 50.74°, intensity 30
- hkl 1 1 2, 2θ = 52.70°, intensity 28
- hkl 2 0 2, 2θ = 63.09°, intensity 22
- hkl 1 1 3, 2θ = 72.22°, intensity 14
- hkl 3 1 1, 2θ = 80.07°, intensity 21